Na3Li3N2: computed powder diffractogram (Cu Kα, 1.54184 Å), based on a cell relaxed with GGA-PBE.
Peak positions follow from Bragg's law for the DFT cell and can differ from measured ones.

Principal peaks in the range 2θ = 10–80°, low angle first:
22.99 deg, intensity 100, (1 0 0); 33.44 deg, intensity 25, (1 1 -1); 33.60 deg, intensity 68, (1 0 -2); 42.14 deg, intensity 45, (0 2 0); 42.70 deg, intensity 82, (0 1 3); 48.55 deg, intensity 22, (1 2 0); 48.87 deg, intensity 24, (1 1 -3); 53.36 deg, intensity 35, (2 1 -1)

Crystal structure
Cell: 3.8685 4.2884 7.3051 Å, 90.00 90.52 90.00°
Positions (direct):
Na1 0.0000 0.0000 0.0000
Na2 0.0229 0.5000 0.5039
Na3 0.2828 0.5000 0.1697
Li1 0.1967 0.0000 0.6605
Li2 0.6209 0.5000 0.8178
Li3 0.6415 0.0000 0.3605
N1 0.1245 0.5000 0.8281
N2 0.1441 0.0000 0.3585

NaLi5N2: computed powder diffractogram (Cu Kα, 1.54184 Å), based on a cell relaxed with GGA-PBE.
Peak positions follow from Bragg's law for the DFT cell and can differ from measured ones.

Principal peaks in the range 2θ = 10–80°, low angle first:
13.52 deg, intensity 60, (0 0 1); 23.25 deg, intensity 81, (1 0 0); 26.32 deg, intensity 59, (1 0 -1); 27.44 deg, intensity 100, (0 1 1); 36.77 deg, intensity 66, (1 1 1); 44.55 deg, intensity 48, (1 1 2); 48.26 deg, intensity 92, (0 1 3); 48.64 deg, intensity 62, (0 2 0)

Crystal structure
Cell: 3.8314 3.7439 6.5583 Å, 90.00 93.16 90.00°
Positions (direct):
Na1 0.0000 0.0000 0.0000
Li1 0.3230 0.0000 0.3399
Li2 0.3289 0.5000 0.5432
Li3 0.3995 0.5000 0.8883
Li4 0.7770 0.5000 0.2538
Li5 0.8545 0.0000 0.6330
N1 0.2724 0.5000 0.2136
N2 0.3645 0.0000 0.6863

Na2LiN: computed powder diffractogram (Cu Kα, 1.54184 Å), based on a cell relaxed with GGA-PBE.
Peak positions follow from Bragg's law for the DFT cell and can differ from measured ones.

Principal peaks in the range 2θ = 10–80°, low angle first:
22.97 deg, intensity 100, (0 0 1); 32.65 deg, intensity 17, (1 0 1); 40.20 deg, intensity 85, (1 1 0); 46.80 deg, intensity 74, (1 1 1); 46.94 deg, intensity 17, (0 0 2); 63.47 deg, intensity 36, (1 1 2); 73.05 deg, intensity 11, (3 0 0); 77.75 deg, intensity 12, (3 0 1)

Crystal structure
Cell: 4.4868 4.4868 3.8714 Å, 90.00 90.00 120.00°
Positions (direct):
Na1 0.3333 0.6667 0.0000
Na2 0.6667 0.3333 0.0000
Li1 0.0000 0.0000 0.5000
N1 0.0000 0.0000 0.0000

Na2LiN: computed powder diffractogram (Cu Kα, 1.54184 Å), based on a cell relaxed with GGA-PBE.
Peak positions follow from Bragg's law for the DFT cell and can differ from measured ones.

Principal peaks in the range 2θ = 10–80°, low angle first:
14.45 deg, intensity 6, (0 0 1); 26.23 deg, intensity 9, (1 0 1); 34.35 deg, intensity 48, (1 1 1); 43.05 deg, intensity 100, (1 1 2); 44.38 deg, intensity 69, (2 0 0); 64.57 deg, intensity 30, (2 2 0); 75.25 deg, intensity 7, (3 1 1); 77.97 deg, intensity 7, (2 0 4)

Crystal structure
Cell: 4.0809 4.0809 6.1296 Å, 90.00 90.00 90.00°
Positions (direct):
Na1 0.2500 0.2500 0.2022
Na2 0.2500 0.7500 0.5000
Na3 0.7500 0.2500 0.5000
Na4 0.7500 0.7500 0.7978
Li1 0.2500 0.7500 0.0000
Li2 0.7500 0.2500 0.0000
N1 0.2500 0.2500 0.7927
N2 0.7500 0.7500 0.2073

NaLi5N2: computed powder diffractogram (Cu Kα, 1.54184 Å), based on a cell relaxed with GGA-PBE.
Peak positions follow from Bragg's law for the DFT cell and can differ from measured ones.

Principal peaks in the range 2θ = 10–80°, low angle first:
16.95 deg, intensity 17, (0 0 1); 24.03 deg, intensity 17, (1 0 0); 34.25 deg, intensity 36, (0 0 2); 38.44 deg, intensity 10, (1 1 1); 42.30 deg, intensity 7, (1 0 2); 49.22 deg, intensity 100, (2 0 0); 61.33 deg, intensity 5, (2 0 2); 72.16 deg, intensity 13, (2 2 0)

Crystal structure
Cell: 3.7038 3.7038 5.2318 Å, 90.00 90.00 90.00°
Positions (direct):
Na1 0.0000 0.0000 0.0000
Li1 0.0000 0.5000 0.2566
Li2 0.0000 0.5000 0.7434
Li3 0.5000 0.0000 0.2566
Li4 0.5000 0.0000 0.7434
Li5 0.5000 0.5000 0.5000
N1 0.0000 0.0000 0.5000
N2 0.5000 0.5000 0.0000

NaLi2N: computed powder diffractogram (Cu Kα, 1.54184 Å), based on a cell relaxed with GGA-PBE.
Peak positions follow from Bragg's law for the DFT cell and can differ from measured ones.

Principal peaks in the range 2θ = 10–80°, low angle first:
28.17 deg, intensity 100, (1 0 0); 33.99 deg, intensity 27, (1 0 1); 37.79 deg, intensity 30, (0 0 2); 47.79 deg, intensity 37, (1 0 2); 49.85 deg, intensity 36, (1 1 0); 58.24 deg, intensity 9, (2 0 0); 64.21 deg, intensity 30, (1 1 2); 71.54 deg, intensity 8, (2 0 2)

Crystal structure
Cell: 3.6583 3.6583 4.7614 Å, 90.00 90.00 120.00°
Positions (direct):
Na1 0.0000 0.0000 0.0000
Li1 0.3333 0.6667 0.5000
Li2 0.6667 0.3333 0.5000
N1 0.0000 0.0000 0.5000

Na3Li3N2: computed powder diffractogram (Cu Kα, 1.54184 Å), based on a cell relaxed with GGA-PBE.
Peak positions follow from Bragg's law for the DFT cell and can differ from measured ones.

Principal peaks in the range 2θ = 10–80°, low angle first:
23.44 deg, intensity 100, (1 0 0); 24.73 deg, intensity 19, (0 0 3); 28.75 deg, intensity 34, (1 0 2); 33.39 deg, intensity 32, (1 1 0); 34.33 deg, intensity 42, (1 0 3); 41.02 deg, intensity 34, (1 0 4); 47.78 deg, intensity 47, (1 1 4); 47.94 deg, intensity 37, (2 0 0)

Crystal structure
Cell: 3.7956 3.7956 10.8012 Å, 90.00 90.00 90.00°
Positions (direct):
Na1 0.0000 0.0000 0.0000
Na2 0.0000 0.0000 0.2782
Na3 0.0000 0.0000 0.7218
Li1 0.0000 0.0000 0.5000
Li2 0.5000 0.5000 0.0000
Li3 0.5000 0.5000 0.5000
N1 0.0000 0.5000 0.5847
N2 0.5000 0.0000 0.4153

NaLi5N2: computed powder diffractogram (Cu Kα, 1.54184 Å), based on a cell relaxed with GGA-PBE.
Peak positions follow from Bragg's law for the DFT cell and can differ from measured ones.

Principal peaks in the range 2θ = 10–80°, low angle first:
23.33 deg, intensity 100, (1 0 0); 24.57 deg, intensity 40, (1 0 -1); 27.37 deg, intensity 55, (0 1 1); 34.90 deg, intensity 49, (0 1 2); 37.58 deg, intensity 28, (1 1 1); 45.00 deg, intensity 62, (0 1 3); 47.32 deg, intensity 28, (2 0 -1); 50.01 deg, intensity 31, (0 2 0)

Crystal structure
Cell: 3.8631 3.6477 7.3447 Å, 90.00 99.21 90.00°
Positions (direct):
Na1 0.0000 0.0000 0.0000
Li1 0.1686 0.0000 0.3378
Li2 0.1785 0.5000 0.5128
Li3 0.3239 0.5000 0.8039
Li4 0.6158 0.5000 0.2254
Li5 0.7314 0.0000 0.6318
N1 0.1184 0.5000 0.2329
N2 0.2454 0.0000 0.6729